No. 1
Starting from DFT lattice parameters and positions (GGA-PBE), the powder diffractogram of RbIn12Ag4 was computed for Cu Kα X-rays.

Atomic structure:
```
data_RbIn12Ag4
_chemical_formula_sum 'Rb1 In12 Ag4'
_space_group_name_H-M_alt 'P 1'
_space_group_IT_number 1
_cell_length_a 8.600
_cell_length_b 8.600
_cell_length_c 8.600
_cell_angle_alpha 109.47
_cell_angle_beta 109.47
_cell_angle_gamma 109.47
loop_
_space_group_symop_operation_xyz
'x,y,z'
loop_
_atom_site_label
_atom_site_fract_x
_atom_site_fract_y
_atom_site_fract_z
Rb1 0.000 0.000 0.000
In1 0.156 0.349 0.505
In2 0.156 0.651 0.807
In3 0.193 0.844 0.349
In4 0.349 0.193 0.844
In5 0.349 0.505 0.156
In6 0.495 0.844 0.651
In7 0.505 0.156 0.349
In8 0.651 0.495 0.844
In9 0.651 0.807 0.156
In10 0.807 0.156 0.651
In11 0.844 0.349 0.193
In12 0.844 0.651 0.495
Ag1 0.000 0.000 0.500
Ag2 0.000 0.500 0.000
Ag3 0.500 0.000 0.000
Ag4 0.500 0.500 0.500
```

Most intense lines, 2θ from 10° to 80°, low angle first:
Position (°2θ)	I (rel.)
28.42	100.0
33.77	35.1
40.63	33.7
44.71	31.4
46.64	34.0
53.83	8.7
58.81	7.7
63.54	15.9
65.08	8.1
72.49	10.2

---

No. 2
Starting from DFT lattice parameters and positions (GGA-PBE), the powder diffractogram of Ba3Cu2TcO8 was computed for Cu Kα X-rays.

Atomic structure:
```
data_Ba3Cu2TcO8
_chemical_formula_sum 'Ba3 Cu2 Tc1 O8'
_space_group_name_H-M_alt 'P 1'
_space_group_IT_number 1
_cell_length_a 5.745
_cell_length_b 5.745
_cell_length_c 7.643
_cell_angle_alpha 90.00
_cell_angle_beta 90.00
_cell_angle_gamma 120.00
loop_
_space_group_symop_operation_xyz
'x,y,z'
loop_
_atom_site_label
_atom_site_fract_x
_atom_site_fract_y
_atom_site_fract_z
Ba1 0.000 0.000 0.000
Ba2 0.333 0.667 0.658
Ba3 0.667 0.333 0.342
Cu1 0.333 0.667 0.217
Cu2 0.667 0.333 0.783
Tc1 0.000 0.000 0.500
O1 0.157 0.315 0.351
O2 0.157 0.843 0.351
O3 0.315 0.157 0.649
O4 0.333 0.667 0.980
O5 0.667 0.333 0.020
O6 0.685 0.843 0.351
O7 0.843 0.157 0.649
O8 0.843 0.685 0.649
```

Most intense lines, 2θ from 10° to 80°, low angle first:
Position (°2θ)	I (rel.)
29.47	89.2
31.14	100.0
43.41	44.4
51.21	15.0
54.38	31.9
55.41	18.8
61.16	12.6
64.93	15.5
70.23	12.2
72.89	13.7

---

No. 3
Starting from DFT lattice parameters and positions (GGA-PBE), the powder diffractogram of Ta2SnO7 was computed for Cu Kα X-rays.

Atomic structure:
```
data_Ta2SnO7
_chemical_formula_sum 'Ta4 Sn2 O14'
_space_group_name_H-M_alt 'P 1'
_space_group_IT_number 1
_cell_length_a 8.729
_cell_length_b 8.729
_cell_length_c 5.215
_cell_angle_alpha 96.30
_cell_angle_beta 96.30
_cell_angle_gamma 32.97
loop_
_space_group_symop_operation_xyz
'x,y,z'
loop_
_atom_site_label
_atom_site_fract_x
_atom_site_fract_y
_atom_site_fract_z
Ta1 0.065 0.609 0.696
Ta2 0.391 0.935 0.804
Ta3 0.609 0.065 0.196
Ta4 0.935 0.391 0.304
Sn1 0.227 0.773 0.250
Sn2 0.773 0.227 0.750
O1 0.069 0.093 0.526
O2 0.093 0.069 0.026
O3 0.134 0.314 0.663
O4 0.313 0.402 0.990
O5 0.314 0.134 0.163
O6 0.381 0.619 0.750
O7 0.402 0.313 0.490
O8 0.598 0.687 0.510
O9 0.619 0.381 0.250
O10 0.686 0.866 0.837
O11 0.687 0.598 0.010
O12 0.866 0.686 0.337
O13 0.907 0.931 0.974
O14 0.931 0.907 0.474
```

Most intense lines, 2θ from 10° to 80°, low angle first:
Position (°2θ)	I (rel.)
25.02	20.3
28.59	100.0
30.78	81.4
32.30	40.6
34.63	21.6
36.27	20.8
49.34	27.0
50.99	31.7
54.02	17.5
57.95	16.1

---

No. 4
Starting from DFT lattice parameters and positions (GGA-PBE), the powder diffractogram of Na8Tl6Bi was computed for Cu Kα X-rays.

Atomic structure:
```
data_Na8Tl6Bi
_chemical_formula_sum 'Na8 Tl6 Bi1'
_space_group_name_H-M_alt 'P 1'
_space_group_IT_number 1
_cell_length_a 8.506
_cell_length_b 8.506
_cell_length_c 8.506
_cell_angle_alpha 65.85
_cell_angle_beta 65.85
_cell_angle_gamma 65.85
loop_
_space_group_symop_operation_xyz
'x,y,z'
loop_
_atom_site_label
_atom_site_fract_x
_atom_site_fract_y
_atom_site_fract_z
Na1 0.080 0.692 0.377
Na2 0.171 0.171 0.171
Na3 0.308 0.623 0.920
Na4 0.377 0.080 0.692
Na5 0.623 0.920 0.308
Na6 0.692 0.377 0.080
Na7 0.829 0.829 0.829
Na8 0.920 0.308 0.623
Tl1 0.110 0.449 0.791
Tl2 0.209 0.890 0.551
Tl3 0.449 0.791 0.110
Tl4 0.551 0.209 0.890
Tl5 0.791 0.110 0.449
Tl6 0.890 0.551 0.209
Bi1 0.500 0.500 0.500
```

Most intense lines, 2θ from 10° to 80°, low angle first:
Position (°2θ)	I (rel.)
13.37	76.1
19.20	23.2
23.47	90.7
33.28	100.0
33.57	87.0
36.29	42.9
41.37	21.5
48.00	35.3
54.29	20.1
59.85	35.7

---

No. 5
Starting from DFT lattice parameters and positions (GGA-PBE), the powder diffractogram of NdEr2Tm6 was computed for Cu Kα X-rays.

Atomic structure:
```
data_NdEr2Tm6
_chemical_formula_sum 'Nd1 Er2 Tm6'
_space_group_name_H-M_alt 'P 1'
_space_group_IT_number 1
_cell_length_a 6.278
_cell_length_b 6.278
_cell_length_c 14.211
_cell_angle_alpha 108.28
_cell_angle_beta 108.28
_cell_angle_gamma 32.59
loop_
_space_group_symop_operation_xyz
'x,y,z'
loop_
_atom_site_label
_atom_site_fract_x
_atom_site_fract_y
_atom_site_fract_z
Nd1 0.000 0.000 0.000
Er1 0.343 0.343 0.749
Er2 0.657 0.657 0.251
Tm1 0.134 0.134 0.488
Tm2 0.308 0.308 0.102
Tm3 0.420 0.420 0.333
Tm4 0.580 0.580 0.667
Tm5 0.692 0.692 0.898
Tm6 0.866 0.866 0.512
```

Most intense lines, 2θ from 10° to 80°, low angle first:
Position (°2θ)	I (rel.)
28.49	95.0
29.12	55.8
29.82	41.5
30.84	35.9
31.24	41.7
31.85	61.2
33.86	65.0
34.30	100.0
34.86	81.7
35.91	34.4

---

No. 6
Starting from DFT lattice parameters and positions (GGA-PBE), the powder diffractogram of FeHRu was computed for Cu Kα X-rays.

Atomic structure:
```
data_FeHRu
_chemical_formula_sum 'Fe4 H4 Ru4'
_space_group_name_H-M_alt 'P 1'
_space_group_IT_number 1
_cell_length_a 5.451
_cell_length_b 5.096
_cell_length_c 6.411
_cell_angle_alpha 55.13
_cell_angle_beta 50.09
_cell_angle_gamma 74.79
loop_
_space_group_symop_operation_xyz
'x,y,z'
loop_
_atom_site_label
_atom_site_fract_x
_atom_site_fract_y
_atom_site_fract_z
Fe1 0.294 0.706 0.541
Fe2 0.706 0.294 0.459
Fe3 0.709 0.791 0.956
Fe4 0.791 0.709 0.544
H1 0.253 0.743 0.264
H2 0.510 0.986 0.507
H3 0.743 0.253 0.740
H4 0.986 0.510 0.997
Ru1 0.205 0.791 0.961
Ru2 0.207 0.289 0.459
Ru3 0.289 0.207 0.045
Ru4 0.791 0.205 0.043
```

Most intense lines, 2θ from 10° to 80°, low angle first:
Position (°2θ)	I (rel.)
21.55	16.3
38.00	11.8
38.38	24.7
41.80	38.3
43.58	52.4
43.92	100.0
58.03	14.8
68.91	16.6
77.56	8.8
77.80	17.1